# 1
This entry pairs a crystal structure of KAgO2 with its computed powder diffractogram. Radiation: Cu Kα, 1.54184 Å. Structure: a structure optimized by DFT (PBE).
Neutral-atom scattering factors, no anomalous dispersion.

Top 10 peaks for 2θ = 10–90°, in order of rising 2θ:
h k l	two_theta	intensity
1 1 0	17.04	100.0
0 2 0	20.27	66.1
2 0 0	27.59	26.9
1 1 -2	32.16	30.3
1 3 0	33.68	48.6
0 2 2	38.27	16.2
1 1 2	40.56	30.2
2 2 -2	40.70	17.7
3 1 -2	45.10	24.3
2 2 2	54.23	17.4

Atomic structure:
a b c (Å): 6.847 8.761 5.904
angles (deg): 90.00 109.21 90.00
Space group C2/c (No. 15)
Asymmetric unit:
K (0.000, 0.141, 0.250)
Ag (0.000, 0.500, 0.000)
O (0.206, 0.448, 0.329)

=====

# 2
This entry pairs a crystal structure of KAgO2 with its computed powder diffractogram. Radiation: Cu Kα, 1.54184 Å. Structure: a structure optimized by DFT (PBE).
Neutral-atom scattering factors, no anomalous dispersion.

Top 10 peaks for 2θ = 10–90°, in order of rising 2θ:
h k l	two_theta	intensity
0 0 1	14.94	49.5
0 1 0	23.86	34.6
0 1 1	28.27	100.0
1 0 0	29.32	25.7
0 0 2	30.13	24.4
1 1 1	41.18	62.2
1 0 2	42.54	42.8
1 1 2	49.36	17.2
1 1 3	61.16	21.2
1 2 2	66.75	19.3

Atomic structure:
a b c (Å): 3.046 3.729 5.931
angles (deg): 90.00 90.00 90.00
Space group Pmmm (No. 47)
Asymmetric unit:
K (0.000, 0.000, 0.000)
Ag (0.000, 0.500, 0.500)
O (0.500, 0.500, 0.270)

=====

# 3
This entry pairs a crystal structure of K2Ag4S3 with its computed powder diffractogram. Radiation: Cu Kα, 1.54184 Å. Structure: a structure optimized by DFT (PBE).
Neutral-atom scattering factors, no anomalous dispersion.

Top 10 peaks for 2θ = 10–90°, in order of rising 2θ:
h k l	two_theta	intensity
2 0 0	10.45	100.0
2 0 -2	16.05	10.3
3 1 1	28.73	9.1
4 0 2	30.30	10.3
3 1 -3	31.99	14.0
1 1 3	33.54	10.0
5 1 0	33.69	29.8
1 1 -4	37.41	14.6
3 1 -4	37.53	21.7
0 2 0	41.99	22.2

Atomic structure:
a b c (Å): 17.841 4.303 11.741
angles (deg): 90.00 108.44 90.00
Space group C2/m (No. 12)
Asymmetric unit:
K (0.168, 0.000, 0.341)
K (0.186, 0.500, 0.841)
Ag (0.015, 0.500, 0.378)
Ag (0.023, 0.500, 0.133)
Ag (0.090, 0.000, 0.586)
Ag (0.093, 0.000, 0.010)
S (0.033, 0.000, 0.774)
S (0.146, 0.500, 0.542)
S (0.160, 0.500, 0.112)